(1)
The following is a computed powder XRD pattern of Hf4Ti2In. It was derived from a PBE-relaxed structure, using Cu Kα.
Lines closer than 0.1° are merged.

Atomic structure:
```
data_Hf4Ti2In
_symmetry_space_group_name_H-M 'P m n a'
_symmetry_Int_Tables_number 53
_cell_length_a 5.661
_cell_length_b 5.309
_cell_length_c 9.935
_cell_angle_alpha 90.00
_cell_angle_beta 90.00
_cell_angle_gamma 90.00
loop_
_symmetry_equiv_pos_as_xyz
'x,y,z'
'-x,-y,-z'
'-x+1/2,-y,z+1/2'
'x+1/2,y,-z+1/2'
'x,-y,-z'
'-x,y,z'
'-x+1/2,y,-z+1/2'
'x+1/2,-y,z+1/2'
loop_
_atom_site_label
_atom_site_type_symbol
_atom_site_fract_x
_atom_site_fract_y
_atom_site_fract_z
_atom_site_occupancy
Hf1 Hf 0.000 0.040 0.180 1
Hf2 Hf 0.250 0.454 0.750 1
Ti1 Ti 0.000 0.244 0.475 1
In1 In 0.000 0.500 0.000 1
```

Most intense lines, 5° ≤ 2θ ≤ 70°, low angle first:
- 4.967 Å, 2θ 17.86, I = 57.1
- 2.655 Å, 2θ 33.76, I = 35.8
- 2.517 Å, 2θ 35.67, I = 63.8
- 2.498 Å, 2θ 35.96, I = 49.2
- 2.339 Å, 2θ 38.49, I = 57.4
- 2.231 Å, 2θ 40.42, I = 100.0

***

(2)
The following is a computed powder XRD pattern of CsNa2TlAs. It was derived from a PBE-relaxed structure, using Cu Kα.
Lines closer than 0.1° are merged.

Atomic structure:
```
data_CsNa2TlAs
_symmetry_space_group_name_H-M 'P 4/m m m'
_symmetry_Int_Tables_number 123
_symmetry_space_group_name_Hall '-P 4 2'
_cell_length_a 5.703
_cell_length_b 5.703
_cell_length_c 6.155
_cell_angle_alpha 90.00
_cell_angle_beta 90.00
_cell_angle_gamma 90.00
loop_
_atom_site_label
_atom_site_type_symbol
_atom_site_fract_x
_atom_site_fract_y
_atom_site_fract_z
_atom_site_occupancy
Cs1 Cs 0.000 0.000 0.000 1
Na1 Na 0.000 0.500 0.500 1
Tl1 Tl 0.500 0.500 0.000 1
As1 As 0.500 0.500 0.500 1
```

Most intense lines, 5° ≤ 2θ ≤ 70°, low angle first:
- 4.032 Å, 2θ 22.04, I = 100.0
- 3.373 Å, 2θ 26.43, I = 91.0
- 3.077 Å, 2θ 29.02, I = 41.4
- 2.851 Å, 2θ 31.37, I = 67.5
- 2.446 Å, 2θ 36.74, I = 54.2
- 2.091 Å, 2θ 43.26, I = 55.5

***

(3)
The following is a computed powder XRD pattern of AlSiPN4. It was derived from a PBE-relaxed structure, using Cu Kα.
Lines closer than 0.1° are merged.

Atomic structure:
```
data_AlSiPN4
_symmetry_space_group_name_H-M 'P 1 m 1'
_symmetry_Int_Tables_number 6
_cell_length_a 4.822
_cell_length_b 2.894
_cell_length_c 4.940
_cell_angle_alpha 90.00
_cell_angle_beta 105.07
_cell_angle_gamma 90.00
loop_
_symmetry_equiv_pos_as_xyz
'x,y,z'
'x,-y,z'
loop_
_atom_site_label
_atom_site_type_symbol
_atom_site_fract_x
_atom_site_fract_y
_atom_site_fract_z
_atom_site_occupancy
Al1 Al 0.000 0.000 0.000 1
Si1 Si 0.342 0.500 0.624 1
P1 P 0.604 0.500 0.177 1
N1 N 0.208 0.000 0.727 1
N2 N 0.281 0.500 0.242 1
N3 N 0.700 0.500 0.864 1
N4 N 0.758 0.000 0.295 1
```

Most intense lines, 5° ≤ 2θ ≤ 70°, low angle first:
- 4.770 Å, 2θ 18.60, I = 36.9
- 2.968 Å, 2θ 30.11, I = 81.3
- 2.458 Å, 2θ 36.56, I = 100.0
- 2.388 Å, 2θ 37.66, I = 66.3
- 2.347 Å, 2θ 38.36, I = 32.8
- 1.592 Å, 2θ 57.94, I = 32.7